This entry pairs a crystal structure of SrTlAgI4 with its theoretical PXRD pattern. Radiation: Cu Kα (λ = 1.5418 Å). Structure: DFT lattice parameters and positions (GGA-PBE).

Main lines, in order of rising 2θ (10 to 90 degrees two-theta):
21.40 deg, d 4.153, intensity 46, hkl 0 2 0
24.58 deg, d 3.621, intensity 77, hkl 1 2 0
28.08 deg, d 3.178, intensity 95, hkl 1 1 2
28.28 deg, d 3.156, intensity 100, hkl 2 1 -2
29.16 deg, d 3.062, intensity 86, hkl 0 2 2
32.42 deg, d 2.762, intensity 33, hkl 2 2 0
37.78 deg, d 2.381, intensity 46, hkl 1 0 -4
41.89 deg, d 2.156, intensity 37, hkl 1 3 2
42.65 deg, d 2.120, intensity 33, hkl 3 2 0
43.59 deg, d 2.076, intensity 35, hkl 0 4 0

Structure:
Cell lengths 7.753, 8.305, 9.525 Å; angles 90.00, 107.43, 90.00 degrees
Space group P2_1/m (No. 11)
Asymmetric unit:
Sr (0.223, 0.250, 0.058) (multiplicity 2)
Tl (0.221, 0.250, 0.549) (multiplicity 2)
Ag (0.239, 0.750, 0.818) (multiplicity 2)
I (0.015, 0.510, 0.227) (multiplicity 4)
I (0.453, 0.750, 0.626) (multiplicity 2)
I (0.469, 0.750, 0.113) (multiplicity 2)